The following is a calculated X-ray diffraction stick pattern of SrGaICl4. It was derived from a GGA-PBE-relaxed structure, using Cu Kα (λ = 1.5418 Å).
Kinematic intensities with the Lorentz-polarization factor, no thermal factor.

Peak list (12 most intense, 2θ = 10–90°, in order of rising 2θ)
d [Å]  2θ/deg  I/Imax
7.726  11.45  27
5.298  16.73  20
4.755  18.66  24
4.697  18.89  100
4.056  21.91  20
3.943  22.55  25
3.385  26.33  19
3.208  27.81  27
2.973  30.06  25
2.647  33.86  54
2.540  35.33  23
2.349  38.32  20

Structural model:
```
SrGaICl4
1.0
6.9337 -4.6971 0.0000
6.9337 4.6971 0.0000
-1.6743 0.0000 8.1118
Sr Ga I Cl
2 2 2 8
direct
0.1725 0.1725 0.0798
0.8275 0.8275 0.9202
0.3554 0.3554 0.7155
0.6446 0.6446 0.2845
0.0132 0.0132 0.7491
0.9868 0.9868 0.2509
0.1204 0.4761 0.8554
0.2708 0.2708 0.4625
0.4761 0.1204 0.8554
0.4880 0.4880 0.2543
0.5120 0.5120 0.7457
0.5239 0.8796 0.1446
0.7292 0.7292 0.5375
0.8796 0.5239 0.1446
```

---

The following is a calculated X-ray diffraction stick pattern of Zn2OsCl. It was derived from a GGA-PBE-relaxed structure, using Cu Kα (λ = 1.5418 Å).
Kinematic intensities with the Lorentz-polarization factor, no thermal factor.

Peak list (12 most intense, 2θ = 10–90°, in order of rising 2θ)
d [Å]  2θ/deg  I/Imax
7.978  11.09  100
2.617  34.26  20
2.410  37.31  98
2.307  39.04  13
2.086  43.37  14
1.994  45.48  18
1.977  45.91  54
1.520  60.94  23
1.301  72.70  13
1.286  73.68  13
1.209  79.23  21
1.205  79.55  10

Structural model:
```
Zn2OsCl
1.0
3.0405 0.0000 0.0000
-1.5202 2.6331 0.0000
0.0000 0.0000 23.9334
Zn Os Cl
6 3 3
direct
0.0000 0.0000 0.2476
0.0000 0.0000 0.7524
0.3333 0.6667 0.4191
0.3333 0.6667 0.9143
0.6667 0.3333 0.0857
0.6667 0.3333 0.5809
0.0000 0.0000 0.5000
0.3333 0.6667 0.1667
0.6667 0.3333 0.8333
0.0000 0.0000 0.0000
0.3333 0.6667 0.6667
0.6667 0.3333 0.3333
```

---

The following is a calculated X-ray diffraction stick pattern of Th2SnHg3. It was derived from a GGA-PBE-relaxed structure, using Cu Kα (λ = 1.5418 Å).
Kinematic intensities with the Lorentz-polarization factor, no thermal factor.

Peak list (12 most intense, 2θ = 10–90°, in order of rising 2θ)
d [Å]  2θ/deg  I/Imax
2.737  32.71  100
2.545  35.27  85
2.057  44.03  5
1.864  48.87  33
1.746  52.39  10
1.505  61.61  11
1.503  61.74  22
1.470  63.25  11
1.467  63.42  5
1.440  64.74  30
1.271  74.67  7
1.125  86.50  17

Structural model:
```
Th2SnHg3
1.0
3.4929 0.0000 0.0000
0.0000 5.0976 0.0000
0.0000 0.0000 8.7997
Th Sn Hg
2 1 3
direct
0.0000 0.0000 0.0000
0.0000 0.5000 0.4915
0.5000 0.5000 0.8279
0.5000 0.0000 0.3279
0.5000 0.0000 0.6587
0.5000 0.5000 0.1644
```

---

The following is a calculated X-ray diffraction stick pattern of SmGe3Ir3. It was derived from a GGA-PBE-relaxed structure, using Cu Kα (λ = 1.5418 Å).
Kinematic intensities with the Lorentz-polarization factor, no thermal factor.

Peak list (12 most intense, 2θ = 10–90°, in order of rising 2θ)
d [Å]  2θ/deg  I/Imax
7.007  12.63  55
5.745  15.42  86
3.094  28.86  100
2.457  36.57  66
2.336  38.55  62
2.207  40.89  83
2.074  43.64  69
1.989  45.61  77
1.804  50.59  38
1.458  63.82  25
1.303  72.55  19
1.298  72.86  22

Structural model:
```
SmGe3Ir3
1.0
3.4478 1.9906 7.0070
-3.4478 1.9906 7.0070
0.0000 -3.9812 7.0070
Sm Ge Ir
2 6 6
direct
0.1718 0.1718 0.1718
0.8282 0.8282 0.8282
0.0908 0.4549 0.6391
0.3609 0.9092 0.5451
0.4549 0.6391 0.0908
0.5451 0.3609 0.9092
0.6391 0.0908 0.4549
0.9092 0.5451 0.3609
0.0428 0.8161 0.3066
0.1839 0.6934 0.9572
0.3066 0.0428 0.8161
0.6934 0.9572 0.1839
0.8161 0.3066 0.0428
0.9572 0.1839 0.6934
```

---

The following is a calculated X-ray diffraction stick pattern of CeMg6Zn2. It was derived from a GGA-PBE-relaxed structure, using Cu Kα (λ = 1.5418 Å).
Kinematic intensities with the Lorentz-polarization factor, no thermal factor.

Peak list (12 most intense, 2θ = 10–90°, in order of rising 2θ)
d [Å]  2θ/deg  I/Imax
3.368  26.47  31
3.094  28.85  43
2.969  30.10  65
2.741  32.67  58
2.669  33.58  100
2.259  39.92  52
2.188  41.26  58
1.900  47.87  28
1.710  53.60  28
1.571  58.76  33
1.435  65.01  21
1.338  70.33  22

Structural model:
```
CeMg6Zn2
1.0
4.3759 0.0000 0.0000
0.0000 4.3759 0.0000
0.0000 0.0000 10.5478
Ce Mg Zn
1 6 2
direct
0.0000 0.0000 0.0000
0.0000 0.0000 0.5000
0.0000 0.5000 0.2772
0.0000 0.5000 0.7228
0.5000 0.0000 0.2772
0.5000 0.0000 0.7228
0.5000 0.5000 0.5000
0.5000 0.5000 0.1162
0.5000 0.5000 0.8838
```

---

The following is a calculated X-ray diffraction stick pattern of Mg2Ti2O5. It was derived from a GGA-PBE-relaxed structure, using Cu Kα (λ = 1.5418 Å).
Kinematic intensities with the Lorentz-polarization factor, no thermal factor.

Peak list (12 most intense, 2θ = 10–90°, in order of rising 2θ)
d [Å]  2θ/deg  I/Imax
3.966  22.42  38
3.400  26.21  28
2.822  31.71  47
2.786  32.12  25
2.538  35.37  100
2.387  37.68  27
1.983  45.76  24
1.899  47.90  19
1.721  53.22  18
1.651  55.66  16
1.569  58.87  23
1.556  59.39  22

Structural model:
```
Mg2Ti2O5
1.0
-6.6052 2.7864 2.8221
6.6052 -2.7864 2.8221
6.6052 2.7864 -2.8221
Mg Ti O
4 4 10
direct
0.0527 0.1192 0.1718
0.0527 0.3808 0.4335
0.9473 0.6192 0.5665
0.9473 0.8808 0.8282
0.4221 0.7340 0.1882
0.5458 0.2340 0.8118
0.5890 0.0890 0.5000
0.5890 0.5890 0.0000
0.0171 0.3779 0.1392
0.1182 0.4227 0.7568
0.1182 0.8614 0.1955
0.2387 0.8779 0.8608
0.5236 0.2919 0.5225
0.5236 0.5011 0.7317
0.6659 0.3614 0.2432
0.6659 0.9227 0.8045
0.7693 0.0011 0.4775
0.7693 0.7919 0.2683
```